Diffraction record for Ba8Bi4O17. The PXRD pattern is simulated, not measured: it uses a crystal structure in the Materials Project, relaxed with PBE and Cu Kα, 1.54184 Å.
Kinematic intensities with the Lorentz-polarization factor, no thermal factor.

Top 10 peaks for 5 to 70 degrees two-theta, low angle first:
Position (°2θ)  Rel. int.
27.8  30.5
27.9  100.0
28.1  67.1
39.5  18.8
40.0  13.6
40.3  18.1
49.3  14.2
49.6  25.5
49.7  13.3
57.7  15.5

Atomic structure:
Unit cell a=20.226 b=8.962 c=6.398 alpha=90.00 beta=107.75 gamma=90.00
Space group Cm (No. 8)
Unique sites:
Ba 0.000 0.000 0.000 [2 per cell]
Ba 0.023 0.228 0.514 [4 per cell]
Ba 0.187 0.234 0.174 [4 per cell]
Ba 0.332 0.261 0.801 [4 per cell]
Ba 0.358 0.000 0.329 [2 per cell]
Bi 0.001 0.500 0.025 [2 per cell]
Bi 0.169 0.500 0.669 [2 per cell]
Bi 0.177 0.000 0.665 [2 per cell]
Bi 0.331 0.500 0.328 [2 per cell]
O 0.055 0.500 0.376 [2 per cell]
O 0.082 0.500 0.891 [2 per cell]
O 0.090 0.000 0.372 [2 per cell]
O 0.100 0.000 0.835 [2 per cell]
O 0.170 0.244 0.661 [4 per cell]
O 0.241 0.500 0.473 [2 per cell]
O 0.245 0.000 0.472 [2 per cell]
O 0.251 0.500 0.997 [2 per cell]
O 0.258 0.000 0.967 [2 per cell]
O 0.321 0.266 0.341 [4 per cell]
O 0.401 0.500 0.650 [2 per cell]
O 0.408 0.500 0.183 [2 per cell]
O 0.412 0.000 0.745 [2 per cell]
O 0.471 0.217 0.082 [4 per cell]



Diffraction record for BaBi6P4O20. The PXRD pattern is simulated, not measured: it uses a crystal structure in the Materials Project, relaxed with PBE and Cu Kα, 1.54184 Å.
Kinematic intensities with the Lorentz-polarization factor, no thermal factor.

Top 10 peaks for 5 to 70 degrees two-theta, low angle first:
Position (°2θ)  Rel. int.
13.0  26.9
21.5  28.0
26.4  29.7
27.0  100.0
27.1  69.1
27.7  68.5
30.8  39.9
32.2  92.5
46.1  23.9
48.1  29.7

Atomic structure:
Unit cell a=7.148 b=7.806 c=9.279 alpha=107.35 beta=92.37 gamma=111.75
Space group P-1 (No. 2)
Unique sites:
Ba 0.000 0.000 0.000 [1 per cell]
Bi 0.202 0.694 0.673 [2 per cell]
Bi 0.326 0.120 0.509 [2 per cell]
Bi 0.442 0.797 0.090 [2 per cell]
P 0.041 0.270 0.751 [2 per cell]
P 0.354 0.405 0.262 [2 per cell]
O 0.045 0.787 0.422 [2 per cell]
O 0.133 0.820 0.164 [2 per cell]
O 0.138 0.286 0.289 [2 per cell]
O 0.145 0.497 0.826 [2 per cell]
O 0.198 0.173 0.757 [2 per cell]
O 0.328 0.903 0.901 [2 per cell]
O 0.364 0.332 0.089 [2 per cell]
O 0.397 0.627 0.315 [2 per cell]
O 0.445 0.973 0.637 [2 per cell]
O 0.487 0.630 0.642 [2 per cell]



Diffraction record for Ba3Bi2P4O16. The PXRD pattern is simulated, not measured: it uses a crystal structure in the Materials Project, relaxed with PBE and Cu Kα, 1.54184 Å.
Kinematic intensities with the Lorentz-polarization factor, no thermal factor.

Top 10 peaks for 5 to 70 degrees two-theta, low angle first:
Position (°2θ)  Rel. int.
10.9  40.3
20.0  34.6
21.3  36.6
24.8  91.9
25.8  64.4
27.3  100.0
29.4  54.1
42.0  24.9
43.4  37.0
48.7  33.3

Atomic structure:
Unit cell a=20.828 b=8.875 c=8.859 alpha=90.00 beta=109.84 gamma=90.00
Space group C2/c (No. 15)
Unique sites:
Ba 0.000 0.055 0.250 [4 per cell]
Ba 0.216 0.061 0.773 [8 per cell]
Bi 0.082 0.443 0.687 [8 per cell]
P 0.111 0.213 0.989 [8 per cell]
P 0.145 0.307 0.451 [8 per cell]
O 0.066 0.320 0.400 [8 per cell]
O 0.074 0.087 0.046 [8 per cell]
O 0.078 0.372 0.997 [8 per cell]
O 0.095 0.194 0.801 [8 per cell]
O 0.171 0.150 0.439 [8 per cell]
O 0.171 0.428 0.354 [8 per cell]
O 0.173 0.358 0.634 [8 per cell]
O 0.188 0.210 0.075 [8 per cell]



Diffraction record for Ba4Bi3PbO12. The PXRD pattern is simulated, not measured: it uses a crystal structure in the Materials Project, relaxed with PBE and Cu Kα, 1.54184 Å.
Kinematic intensities with the Lorentz-polarization factor, no thermal factor.

Top 10 peaks for 5 to 70 degrees two-theta, low angle first:
Position (°2θ)  Rel. int.
28.5  19.4
28.7  100.0
40.9  21.8
41.1  10.4
50.6  18.0
50.8  25.8
50.9  8.9
59.4  17.2
67.1  11.6
67.5  7.5

Atomic structure:
Unit cell a=10.779 b=6.227 c=10.774 alpha=90.00 beta=109.06 gamma=90.00
Space group C2/m (No. 12)
Unique sites:
Ba 0.127 0.000 0.376 [4 per cell]
Ba 0.129 0.500 0.880 [4 per cell]
Bi 0.000 0.500 0.500 [2 per cell]
Bi 0.249 0.500 0.249 [4 per cell]
Pb 0.000 0.000 0.000 [2 per cell]
O 0.094 0.000 0.844 [4 per cell]
O 0.094 0.500 0.342 [4 per cell]
O 0.142 0.250 0.108 [8 per cell]
O 0.143 0.249 0.610 [8 per cell]



Diffraction record for Ba5BiPb4O15. The PXRD pattern is simulated, not measured: it uses a crystal structure in the Materials Project, relaxed with PBE and Cu Kα, 1.54184 Å.
Kinematic intensities with the Lorentz-polarization factor, no thermal factor.

Top 10 peaks for 5 to 70 degrees two-theta, low angle first:
Position (°2θ)  Rel. int.
28.7  19.7
29.0  100.0
41.3  21.8
41.6  10.3
51.0  18.2
51.3  8.7
51.5  25.7
60.1  13.3
67.8  7.9
68.3  7.4

Atomic structure:
Unit cell a=43.845 b=6.145 c=6.222 alpha=90.00 beta=98.14 gamma=90.00
Space group C2/m (No. 12)
Unique sites:
Ba 0.050 0.000 0.043 [4 per cell]
Ba 0.050 0.500 0.557 [4 per cell]
Ba 0.149 0.000 0.150 [4 per cell]
Ba 0.149 0.500 0.645 [4 per cell]
Ba 0.250 0.000 0.248 [4 per cell]
Bi 0.200 0.500 0.199 [4 per cell]
Pb 0.000 0.000 0.500 [2 per cell]
Pb 0.000 0.500 0.000 [2 per cell]
Pb 0.099 0.500 0.101 [4 per cell]
Pb 0.100 0.000 0.598 [4 per cell]
Pb 0.200 0.000 0.700 [4 per cell]
O 0.008 0.250 0.758 [8 per cell]
O 0.050 0.000 0.480 [4 per cell]
O 0.050 0.500 0.121 [4 per cell]
O 0.094 0.250 0.844 [8 per cell]
O 0.108 0.250 0.357 [8 per cell]
O 0.150 0.000 0.713 [4 per cell]
O 0.151 0.500 0.089 [4 per cell]
O 0.194 0.252 0.440 [8 per cell]
O 0.208 0.252 0.961 [8 per cell]
O 0.250 0.000 0.690 [4 per cell]



Diffraction record for Ba4BiPb3O12. The PXRD pattern is simulated, not measured: it uses a crystal structure in the Materials Project, relaxed with PBE and Cu Kα, 1.54184 Å.
Kinematic intensities with the Lorentz-polarization factor, no thermal factor.

Top 10 peaks for 5 to 70 degrees two-theta, low angle first:
Position (°2θ)  Rel. int.
20.3  10.4
28.7  19.6
28.9  100.0
41.3  21.8
41.5  10.4
51.0  18.0
51.2  8.7
51.3  25.8
59.9  13.5
67.7  7.9

Atomic structure:
Unit cell a=10.700 b=6.163 c=10.705 alpha=90.00 beta=108.98 gamma=90.00
Space group C2/m (No. 12)
Unique sites:
Ba 0.123 0.000 0.371 [4 per cell]
Ba 0.123 0.500 0.874 [4 per cell]
Bi 0.000 0.500 0.500 [2 per cell]
Pb 0.000 0.000 0.000 [2 per cell]
Pb 0.249 0.500 0.248 [4 per cell]
O 0.107 0.249 0.143 [8 per cell]
O 0.109 0.251 0.639 [8 per cell]
O 0.154 0.500 0.406 [4 per cell]
O 0.156 0.000 0.906 [4 per cell]